Calculated X-ray powder pattern of Ac6TbTm2 for copper Kα, from a GGA-PBE-relaxed structure.
Peak positions follow from Bragg's law for the DFT cell and can differ from measured ones.

Largest 10 diffraction maxima, in order of rising 2θ, 5° ≤ 2θ ≤ 70°:
(4 0 0), 2θ 22.63, rel. 48
(0 2 2), 2θ 26.10, rel. 42
(2 2 -2), 2θ 27.23, rel. 41
(1 1 -3), 2θ 28.30, rel. 78
(3 1 2), 2θ 28.47, rel. 69
(2 2 2), 2θ 29.76, rel. 84
(5 1 -1), 2θ 29.86, rel. 37
(1 3 -1), 2θ 30.09, rel. 100
(5 1 -2), 2θ 32.44, rel. 34
(6 4 -3), 2θ 56.58, rel. 31

Crystal structure
```
data_Ac6TbTm2
_symmetry_space_group_name_H-M 'C 1 2/c 1'
_symmetry_Int_Tables_number 15
_symmetry_space_group_name_Hall '-C 2yc'
_cell_length_a 15.9516
_cell_length_b 9.4313
_cell_length_c 10.0443
_cell_angle_alpha 90.00
_cell_angle_beta 99.85
_cell_angle_gamma 90.00
loop_
_atom_site_label
_atom_site_fract_x
_atom_site_fract_y
_atom_site_fract_z
Ac1 0.1007 0.1934 0.1244
Ac2 0.1202 0.4338 0.8321
Ac3 0.1356 0.2204 0.5174
Tb1 0.0000 0.1025 0.7500
Tm1 0.2178 0.0782 0.8515
```



Calculated X-ray powder pattern of AcTbY4 for copper Kα, from a GGA-PBE-relaxed structure.
Peak positions follow from Bragg's law for the DFT cell and can differ from measured ones.

Largest 10 diffraction maxima, in order of rising 2θ, 5° ≤ 2θ ≤ 70°:
(1 0 0), 2θ 17.74, rel. 12
(1 0 1), 2θ 21.80, rel. 2
(1 1 0), 2θ 31.02, rel. 100
(2 0 0), 2θ 35.92, rel. 2
(2 0 2), 2θ 44.43, rel. 20
(2 1 0), 2θ 48.14, rel. 2
(0 0 4), 2θ 51.92, rel. 4
(3 0 0), 2θ 55.13, rel. 30
(1 1 4), 2θ 61.70, rel. 13
(2 2 0), 2θ 64.56, rel. 6

Crystal structure
```
data_AcTbY4
_symmetry_space_group_name_H-M 'P 6/m m m'
_symmetry_Int_Tables_number 191
_symmetry_space_group_name_Hall '-P 6 2'
_cell_length_a 5.7742
_cell_length_b 5.7742
_cell_length_c 7.0445
_cell_angle_alpha 90.00
_cell_angle_beta 90.00
_cell_angle_gamma 120.00
loop_
_atom_site_label
_atom_site_fract_x
_atom_site_fract_y
_atom_site_fract_z
Ac1 0.0000 0.0000 0.0000
Tb1 0.0000 0.0000 0.5000
Y1 0.3333 0.6667 0.2572
```



Calculated X-ray powder pattern of AcTb2Y6 for copper Kα, from a GGA-PBE-relaxed structure.
Peak positions follow from Bragg's law for the DFT cell and can differ from measured ones.

Largest 10 diffraction maxima, in order of rising 2θ, 5° ≤ 2θ ≤ 70°:
(0 2 2), 2θ 19.80, rel. 15
(2 0 0), 2θ 31.17, rel. 100
(1 3 0), 2θ 31.34, rel. 52
(2 2 6), 2θ 44.68, rel. 18
(0 4 6), 2θ 44.86, rel. 9
(3 1 6), 2θ 55.43, rel. 9
(3 3 0), 2θ 55.59, rel. 19
(1 5 6), 2θ 55.74, rel. 10
(2 0 12), 2θ 61.84, rel. 7
(1 3 12), 2θ 61.95, rel. 15

Crystal structure
```
data_AcTb2Y6
_symmetry_space_group_name_H-M 'I b a m'
_symmetry_Int_Tables_number 72
_symmetry_space_group_name_Hall '-I 2 2c'
_cell_length_a 5.7418
_cell_length_b 9.8704
_cell_length_c 21.1170
_cell_angle_alpha 90.00
_cell_angle_beta 90.00
_cell_angle_gamma 90.00
loop_
_atom_site_label
_atom_site_fract_x
_atom_site_fract_y
_atom_site_fract_z
Ac1 0.0000 0.0000 0.2500
Tb1 0.0217 0.3328 0.0000
Y1 0.0000 0.0000 0.0820
Y2 0.0114 0.3333 0.3358
```



Calculated X-ray powder pattern of AcTb3Y4 for copper Kα, from a GGA-PBE-relaxed structure.
Peak positions follow from Bragg's law for the DFT cell and can differ from measured ones.

Largest 10 diffraction maxima, in order of rising 2θ, 5° ≤ 2θ ≤ 70°:
(0 2 0), 2θ 14.99, rel. 27
(1 1 2), 2θ 29.95, rel. 98
(0 4 0), 2θ 30.24, rel. 56
(0 2 4), 2θ 31.18, rel. 100
(1 2 3), 2θ 36.25, rel. 20
(1 3 2), 2θ 37.02, rel. 55
(1 5 2), 2θ 48.52, rel. 27
(1 1 6), 2θ 49.79, rel. 23
(0 6 4), 2θ 54.31, rel. 21
(2 2 4), 2θ 62.24, rel. 27

Crystal structure
```
data_AcTb3Y4
_symmetry_space_group_name_H-M 'I m m m'
_symmetry_Int_Tables_number 71
_symmetry_space_group_name_Hall '-I 2 2'
_cell_length_a 3.4925
_cell_length_b 11.8226
_cell_length_c 13.1252
_cell_angle_alpha 90.00
_cell_angle_beta 90.00
_cell_angle_gamma 90.00
loop_
_atom_site_label
_atom_site_fract_x
_atom_site_fract_y
_atom_site_fract_z
Ac1 0.0000 0.0000 0.0000
Tb1 0.0000 0.0000 0.5000
Tb2 0.0000 0.5000 0.2559
Y1 0.0000 0.2547 0.1352
```



Calculated X-ray powder pattern of Ac2TbY7 for copper Kα, from a GGA-PBE-relaxed structure.
Peak positions follow from Bragg's law for the DFT cell and can differ from measured ones.

Largest 10 diffraction maxima, in order of rising 2θ, 5° ≤ 2θ ≤ 70°:
(0 1 1), 2θ 20.28, rel. 19
(-1 1 1), 2θ 21.03, rel. 25
(1 1 -2), 2θ 24.69, rel. 23
(-1 2 1), 2θ 29.85, rel. 61
(1 2 -2), 2θ 30.25, rel. 100
(1 1 1), 2θ 30.34, rel. 75
(2 -1 0), 2θ 31.29, rel. 57
(0 1 -3), 2θ 32.60, rel. 37
(0 3 -1), 2θ 32.79, rel. 44
(2 3 -1), 2θ 52.26, rel. 23

Crystal structure
```
data_Ac2TbY7
_symmetry_space_group_name_H-M 'P -1'
_symmetry_Int_Tables_number 2
_symmetry_space_group_name_Hall '-P 1'
_cell_length_a 5.8457
_cell_length_b 8.4125
_cell_length_c 8.4657
_cell_angle_alpha 112.62
_cell_angle_beta 101.49
_cell_angle_gamma 101.17
loop_
_atom_site_label
_atom_site_fract_x
_atom_site_fract_y
_atom_site_fract_z
Ac1 0.0825 0.2206 0.2217
Tb1 0.0000 0.0000 0.5000
Y1 0.0000 0.5000 0.0000
Y2 0.3301 0.4768 0.7309
Y3 0.3336 0.7330 0.4761
Y4 0.4978 0.1308 0.8709
```



Calculated X-ray powder pattern of AcTb9Y2 for copper Kα, from a GGA-PBE-relaxed structure.
Peak positions follow from Bragg's law for the DFT cell and can differ from measured ones.

Largest 10 diffraction maxima, in order of rising 2θ, 5° ≤ 2θ ≤ 70°:
(0 0 1), 2θ 5.78, rel. 2
(1 0 1), 2θ 18.37, rel. 2
(1 1 2), 2θ 27.39, rel. 1
(0 0 5), 2θ 29.21, rel. 1
(1 1 3), 2θ 30.41, rel. 100
(2 0 0), 2θ 35.25, rel. 51
(2 0 5), 2θ 46.43, rel. 1
(2 2 0), 2θ 50.71, rel. 36
(3 1 3), 2θ 60.28, rel. 42
(2 2 6), 2θ 63.26, rel. 12

Crystal structure
```
data_AcTb9Y2
_symmetry_space_group_name_H-M 'P 4/m m m'
_symmetry_Int_Tables_number 123
_symmetry_space_group_name_Hall '-P 4 2'
_cell_length_a 5.0896
_cell_length_b 5.0896
_cell_length_c 15.2900
_cell_angle_alpha 90.00
_cell_angle_beta 90.00
_cell_angle_gamma 90.00
loop_
_atom_site_label
_atom_site_fract_x
_atom_site_fract_y
_atom_site_fract_z
Ac1 0.0000 0.0000 0.0000
Tb1 0.0000 0.5000 0.1732
Tb2 0.0000 0.5000 0.5000
Tb3 0.5000 0.5000 0.0000
Tb4 0.5000 0.5000 0.3372
Y1 0.0000 0.0000 0.3360
```



Calculated X-ray powder pattern of AcTb4Y6 for copper Kα, from a GGA-PBE-relaxed structure.
Peak positions follow from Bragg's law for the DFT cell and can differ from measured ones.

Largest 10 diffraction maxima, in order of rising 2θ, 5° ≤ 2θ ≤ 70°:
(0 0 6), 2θ 20.54, rel. 21
(1 1 7), 2θ 30.07, rel. 65
(0 2 7), 2θ 30.30, rel. 45
(2 0 0), 2θ 30.71, rel. 60
(1 3 0), 2θ 31.39, rel. 100
(1 1 8), 2θ 32.99, rel. 33
(2 2 7), 2θ 43.68, rel. 33
(3 3 0), 2θ 55.03, rel. 20
(1 5 7), 2θ 55.34, rel. 18
(1 3 14), 2θ 59.66, rel. 13

Crystal structure
```
data_AcTb4Y6
_symmetry_space_group_name_H-M 'C m c m'
_symmetry_Int_Tables_number 63
_symmetry_space_group_name_Hall '-C 2c 2'
_cell_length_a 5.8224
_cell_length_b 9.8045
_cell_length_c 25.8563
_cell_angle_alpha 90.00
_cell_angle_beta 90.00
_cell_angle_gamma 90.00
loop_
_atom_site_label
_atom_site_fract_x
_atom_site_fract_y
_atom_site_fract_z
Ac1 0.0000 0.1850 0.2500
Tb1 0.0000 0.1593 0.5417
Tb2 0.0000 0.4742 0.6217
Y1 0.0000 0.1453 0.6793
Y2 0.0000 0.1859 0.0992
Y3 0.0000 0.4792 0.7500
Y4 0.0000 0.5000 0.0000
```



Calculated X-ray powder pattern of Ac2Tb5Y4 for copper Kα, from a GGA-PBE-relaxed structure.
Peak positions follow from Bragg's law for the DFT cell and can differ from measured ones.

Largest 10 diffraction maxima, in order of rising 2θ, 5° ≤ 2θ ≤ 70°:
(2 0 -1), 2θ 10.23, rel. 41
(2 0 2), 2θ 24.61, rel. 42
(2 0 -3), 2θ 28.72, rel. 53
(6 0 1), 2θ 29.35, rel. 49
(8 0 -2), 2θ 30.74, rel. 89
(3 1 -2), 2θ 31.23, rel. 100
(5 1 0), 2θ 31.55, rel. 73
(5 1 1), 2θ 35.56, rel. 26
(3 1 3), 2θ 44.95, rel. 23
(0 2 0), 2θ 49.82, rel. 29

Crystal structure
```
data_Ac2Tb5Y4
_symmetry_space_group_name_H-M 'C 1 2/m 1'
_symmetry_Int_Tables_number 12
_symmetry_space_group_name_Hall '-C 2y'
_cell_length_a 24.2132
_cell_length_b 3.6607
_cell_length_c 9.4136
_cell_angle_alpha 90.00
_cell_angle_beta 112.20
_cell_angle_gamma 90.00
loop_
_atom_site_label
_atom_site_fract_x
_atom_site_fract_y
_atom_site_fract_z
Ac1 0.1107 0.0000 0.4211
Tb1 0.0000 0.5000 0.0000
Tb2 0.1336 0.0000 0.0706
Tb3 0.2336 0.5000 0.3386
Y1 0.0467 0.0000 0.7134
Y2 0.1863 0.5000 0.8385
```